For Cr3OF5, a crystal structure in Alexandria, relaxed with GGA+U gives the simulated powder diffraction line list in this record (a wavelength of 1.5418 Å).
Neutral-atom scattering factors, no anomalous dispersion.

The 10 most intense peaks (10° ≤ 2θ ≤ 80°), most intense first:
2theta, d [Å], I/Imax
26.1, 3.420, 100.0
27.1, 3.293, 87.9
32.3, 2.773, 38.4
50.9, 1.794, 36.2
32.9, 2.723, 31.4
32.8, 2.731, 25.9
55.2, 1.663, 20.6
53.6, 1.710, 19.1
49.6, 1.838, 18.0
33.6, 2.670, 17.1

Structure:
```
Cr3OF5
1.0
5.675 0.000 0.000
1.701 5.573 0.000
1.857 1.252 7.113
Cr O F
6 2 10
direct
0.000 0.000 0.000
0.000 0.000 0.500
0.304 0.318 0.159
0.348 0.326 0.675
0.652 0.674 0.325
0.696 0.682 0.841
0.084 0.086 0.217
0.916 0.914 0.783
0.007 0.650 0.142
0.215 0.219 0.491
0.300 0.716 0.497
0.359 0.954 0.868
0.472 0.455 0.848
0.528 0.545 0.152
0.641 0.046 0.132
0.700 0.284 0.503
0.785 0.781 0.509
0.993 0.350 0.858
```